Theoretical X-ray diffraction stick pattern of ZrCrCuSe4 for λ = 1.5418 Å (Cu Kα), from DFT lattice parameters and positions (GGA-PBE).
Neutral-atom scattering factors, no anomalous dispersion.

Largest 10 diffraction maxima, by intensity, 2θ = 5–70°:
h k l	Position (°2θ)	I (rel.)
2 2 0	33.3	100.0
2 2 4	47.9	84.2
2 1 1	27.6	34.9
0 4 0	47.3	22.6
4 0 0	48.3	19.7
0 2 2	28.6	19.2
2 0 2	29.0	16.9
0 1 3	27.5	15.7
1 2 1	27.3	13.0
4 4 0	69.9	12.5

Atomic structure:
Lattice parameters (Å, degrees): 7.533 7.689 10.744 90.00 90.00 90.00
Space group Imma (No. 74)
Asymmetric unit:
Zr  0.250  0.250  0.250
Cr  0.000  0.000  0.000
Cu  0.000  0.250  0.624
Se  0.000  0.001  0.759
Se  0.230  0.250  0.999